NaLi5Sn4: calculated powder XRD pattern (CuKα), based on a DFT-relaxed cell (GGA-PBE, the Materials Project).

Crystal structure
Lattice parameters (Å, degrees): 10.944 10.944 10.944 26.23 26.23 26.23
Sites, in units of the cell vectors:
Na 0.000 0.000 0.000
Li 0.100 0.100 0.100
Li 0.377 0.377 0.377
Li 0.463 0.463 0.463
Li 0.570 0.570 0.570
Li 0.653 0.653 0.653
Sn 0.198 0.198 0.198
Sn 0.287 0.287 0.287
Sn 0.741 0.741 0.741
Sn 0.834 0.834 0.834

The 10 most intense peaks (2θ from 10° to 90°), in order of falling intensity:
2theta, I (rel.)
21.41, 100
36.17, 60
37.58, 51
44.65, 31
25.30, 23
23.54, 21
65.98, 21
42.64, 19
53.15, 19
42.42, 18


In2O3: calculated powder XRD pattern (CuKα), based on a DFT-relaxed cell (GGA-PBE, the Materials Project).

Crystal structure
Lattice parameters (Å, degrees): 8.920 8.920 8.920 109.47 109.47 109.47
Sites, in units of the cell vectors:
In 0.000 0.000 0.500
In 0.000 0.500 0.000
In 0.033 0.750 0.783
In 0.217 0.967 0.250
In 0.250 0.217 0.967
In 0.250 0.717 0.467
In 0.283 0.533 0.750
In 0.467 0.250 0.717
In 0.500 0.000 0.000
In 0.500 0.500 0.500
In 0.533 0.750 0.283
In 0.717 0.467 0.250
In 0.750 0.283 0.533
In 0.750 0.783 0.033
In 0.783 0.033 0.750
In 0.967 0.250 0.217
O 0.008 0.044 0.272
O 0.036 0.492 0.764
O 0.044 0.272 0.008
O 0.228 0.272 0.736
O 0.228 0.456 0.464
O 0.236 0.964 0.508
O 0.264 0.772 0.728
O 0.272 0.008 0.044
O 0.272 0.736 0.228
O 0.456 0.464 0.228
O 0.464 0.228 0.456
O 0.492 0.764 0.036
O 0.508 0.236 0.964
O 0.536 0.772 0.544
O 0.544 0.536 0.772
O 0.728 0.264 0.772
O 0.728 0.992 0.956
O 0.736 0.228 0.272
O 0.764 0.036 0.492
O 0.772 0.544 0.536
O 0.772 0.728 0.264
O 0.956 0.728 0.992
O 0.964 0.508 0.236
O 0.992 0.956 0.728

The 10 most intense peaks (2θ from 10° to 90°), in order of falling intensity:
2theta, I (rel.)
30.06, 100
50.10, 38
34.84, 30
59.54, 28
21.13, 11
44.87, 9
81.46, 8
61.02, 6
84.05, 6
62.47, 5


Rb2Nb3C3S3N3Cl6O2: calculated powder XRD pattern (CuKα), based on a DFT-relaxed cell (GGA-PBE, the Materials Project).

Crystal structure
Lattice parameters (Å, degrees): 9.111 12.126 12.139 115.40 99.22 101.43
Sites, in units of the cell vectors:
Rb 0.007 0.124 0.352
Rb 0.481 0.732 0.763
Rb 0.519 0.268 0.237
Rb 0.993 0.876 0.648
Nb 0.090 0.365 0.868
Nb 0.112 0.468 0.149
Nb 0.206 0.652 0.046
Nb 0.794 0.348 0.954
Nb 0.888 0.532 0.851
Nb 0.910 0.635 0.132
C 0.220 0.153 0.655
C 0.260 0.420 0.389
C 0.483 0.111 0.895
C 0.517 0.889 0.105
C 0.740 0.580 0.611
C 0.780 0.847 0.345
S 0.271 0.048 0.546
S 0.317 0.396 0.507
S 0.339 0.999 0.877
S 0.661 0.001 0.123
S 0.683 0.604 0.493
S 0.729 0.952 0.454
N 0.180 0.231 0.736
N 0.221 0.434 0.298
N 0.409 0.803 0.087
N 0.591 0.197 0.913
N 0.779 0.566 0.702
N 0.820 0.769 0.264
Cl 0.023 0.615 0.318
Cl 0.104 0.711 0.885
Cl 0.131 0.826 0.201
Cl 0.229 0.309 0.018
Cl 0.336 0.519 0.901
Cl 0.360 0.636 0.221
Cl 0.640 0.364 0.779
Cl 0.664 0.481 0.099
Cl 0.771 0.691 0.982
Cl 0.869 0.174 0.799
Cl 0.896 0.289 0.115
Cl 0.977 0.385 0.682
O 0.155 0.680 0.615
O 0.163 0.089 0.150
O 0.837 0.911 0.850
O 0.845 0.320 0.385

The 10 most intense peaks (2θ from 10° to 90°), in order of falling intensity:
2theta, I (rel.)
10.31, 100
29.68, 67
14.74, 63
13.30, 55
13.62, 49
40.56, 42
14.50, 36
22.85, 35
27.80, 32
33.08, 29


NaSmSe2O7: calculated powder XRD pattern (CuKα), based on a DFT-relaxed cell (GGA-PBE, the Materials Project).

Crystal structure
Lattice parameters (Å, degrees): 10.923 7.002 8.345 90.00 91.36 90.00
Sites, in units of the cell vectors:
Na 0.063 0.126 0.311
Na 0.063 0.374 0.811
Na 0.937 0.626 0.189
Na 0.937 0.874 0.689
Sm 0.414 0.649 0.695
Sm 0.414 0.851 0.195
Sm 0.586 0.149 0.805
Sm 0.586 0.351 0.305
Se 0.161 0.642 0.457
Se 0.161 0.858 0.957
Se 0.332 0.170 0.556
Se 0.332 0.330 0.056
Se 0.668 0.670 0.944
Se 0.668 0.830 0.444
Se 0.839 0.142 0.043
Se 0.839 0.358 0.543
O 0.058 0.684 0.953
O 0.058 0.816 0.453
O 0.118 0.028 0.829
O 0.118 0.472 0.329
O 0.190 0.560 0.644
O 0.190 0.940 0.144
O 0.305 0.723 0.422
O 0.305 0.777 0.922
O 0.340 0.115 0.358
O 0.340 0.385 0.858
O 0.413 0.505 0.162
O 0.413 0.995 0.662
O 0.450 0.159 0.065
O 0.450 0.341 0.565
O 0.550 0.659 0.435
O 0.550 0.841 0.935
O 0.587 0.005 0.338
O 0.587 0.495 0.838
O 0.660 0.615 0.142
O 0.660 0.885 0.642
O 0.695 0.223 0.078
O 0.695 0.277 0.578
O 0.810 0.060 0.856
O 0.810 0.440 0.356
O 0.882 0.528 0.671
O 0.882 0.972 0.171
O 0.942 0.184 0.547
O 0.942 0.316 0.047

The 10 most intense peaks (2θ from 10° to 90°), in order of falling intensity:
2theta, I (rel.)
28.77, 100
30.11, 72
26.58, 65
29.88, 37
45.37, 32
47.69, 32
27.63, 28
35.29, 27
48.32, 23
51.96, 22


Ru2C2N8Cl3O5: calculated powder XRD pattern (CuKα), based on a DFT-relaxed cell (GGA-PBE, the Materials Project).

Crystal structure
Lattice parameters (Å, degrees): 7.766 16.569 7.347 90.00 90.00 90.00
Sites, in units of the cell vectors:
Ru 0.075 0.105 0.000
Ru 0.425 0.605 0.500
Ru 0.575 0.395 0.500
Ru 0.925 0.895 0.000
C 0.136 0.363 0.958
C 0.364 0.863 0.458
C 0.636 0.137 0.458
C 0.864 0.637 0.958
N 0.093 0.829 0.094
N 0.171 0.126 0.732
N 0.231 0.649 0.133
N 0.239 0.617 0.605
N 0.261 0.117 0.105
N 0.269 0.149 0.633
N 0.329 0.626 0.232
N 0.407 0.329 0.594
N 0.593 0.671 0.594
N 0.671 0.374 0.232
N 0.731 0.851 0.633
N 0.739 0.883 0.105
N 0.761 0.383 0.605
N 0.769 0.351 0.133
N 0.829 0.874 0.732
N 0.907 0.171 0.094
Cl 0.000 0.000 0.433
Cl 0.208 0.336 0.508
Cl 0.292 0.836 0.008
Cl 0.500 0.500 0.933
Cl 0.708 0.164 0.008
Cl 0.792 0.664 0.508
O 0.000 0.000 0.936
O 0.057 0.419 0.909
O 0.212 0.306 0.007
O 0.288 0.806 0.507
O 0.443 0.919 0.409
O 0.500 0.500 0.436
O 0.557 0.081 0.409
O 0.712 0.194 0.507
O 0.788 0.694 0.007
O 0.943 0.581 0.909

The 10 most intense peaks (2θ from 10° to 90°), in order of falling intensity:
2theta, I (rel.)
12.59, 100
16.61, 94
13.18, 68
24.23, 56
27.25, 48
21.45, 47
28.11, 38
20.11, 26
27.39, 23
23.53, 23


NdLuIn2: calculated powder XRD pattern (CuKα), based on a DFT-relaxed cell (GGA-PBE, the Materials Project).

Crystal structure
Lattice parameters (Å, degrees): 5.367 5.367 5.367 60.00 60.00 60.00
Sites, in units of the cell vectors:
Nd 0.000 0.000 0.000
Lu 0.500 0.500 0.500
In 0.250 0.250 0.250
In 0.750 0.750 0.750

The 10 most intense peaks (2θ from 10° to 90°), in order of falling intensity:
2theta, I (rel.)
33.39, 100
59.69, 37
47.95, 18
79.95, 16
70.14, 11
89.46, 4
23.44, 3
54.04, 1
41.20, 1
75.10, 1


LiTiSiO4: calculated powder XRD pattern (CuKα), based on a DFT-relaxed cell (GGA-PBE, the Materials Project).

Crystal structure
Lattice parameters (Å, degrees): 5.725 5.725 5.725 120.53 119.12 90.30
Sites, in units of the cell vectors:
Li 0.000 0.000 0.000
Li 0.500 0.000 0.500
Ti 0.500 0.000 0.000
Ti 0.500 0.500 0.500
Si 0.134 0.384 0.750
Si 0.866 0.616 0.250
O 0.222 0.738 0.484
O 0.247 0.262 0.984
O 0.253 0.267 0.513
O 0.253 0.740 0.987
O 0.747 0.260 0.013
O 0.747 0.733 0.487
O 0.753 0.738 0.016
O 0.778 0.262 0.516

The 10 most intense peaks (2θ from 10° to 90°), in order of falling intensity:
2theta, I (rel.)
36.96, 100
65.19, 55
30.83, 41
36.81, 41
44.66, 39
18.84, 36
22.01, 29
19.11, 28
31.25, 26
44.90, 19


Ba2YMgSbO6: calculated powder XRD pattern (CuKα), based on a DFT-relaxed cell (GGA-PBE, the Materials Project).

Crystal structure
Lattice parameters (Å, degrees): 6.630 6.630 6.630 124.67 123.43 83.13
Sites, in units of the cell vectors:
Ba 0.193 0.193 0.000
Ba 0.807 0.807 0.000
Y 0.500 0.000 0.500
Mg 0.500 0.500 0.000
Sb 0.000 0.500 0.500
O 0.256 0.756 0.500
O 0.268 0.267 0.535
O 0.268 0.733 0.001
O 0.732 0.267 0.999
O 0.732 0.733 0.465
O 0.744 0.244 0.500

The 10 most intense peaks (2θ from 10° to 90°), in order of falling intensity:
2theta, I (rel.)
27.10, 100
41.05, 47
28.41, 40
29.01, 38
30.69, 27
42.31, 20
49.50, 20
50.25, 19
30.55, 16
67.79, 14


MgMnGe: calculated powder XRD pattern (CuKα), based on a DFT-relaxed cell (GGA-PBE, the Materials Project).

Crystal structure
Lattice parameters (Å, degrees): 3.901 3.901 6.556 90.00 90.00 90.00
Sites, in units of the cell vectors:
Mg 0.250 0.250 0.168
Mg 0.750 0.750 0.832
Mn 0.250 0.750 0.500
Mn 0.750 0.250 0.500
Ge 0.250 0.250 0.738
Ge 0.750 0.750 0.262

The 10 most intense peaks (2θ from 10° to 90°), in order of falling intensity:
2theta, I (rel.)
42.85, 100
13.51, 56
26.59, 49
46.56, 46
35.30, 34
83.79, 26
47.70, 19
67.97, 14
54.43, 13
68.87, 12


SnPb4Se5: calculated powder XRD pattern (CuKα), based on a DFT-relaxed cell (GGA-PBE, the Materials Project).

Crystal structure
Lattice parameters (Å, degrees): 17.815 17.815 17.815 14.16 14.16 14.16
Sites, in units of the cell vectors:
Sn 0.000 0.000 0.000
Pb 0.200 0.200 0.200
Pb 0.400 0.400 0.400
Pb 0.600 0.600 0.600
Pb 0.800 0.800 0.800
Se 0.100 0.100 0.100
Se 0.301 0.301 0.301
Se 0.500 0.500 0.500
Se 0.699 0.699 0.699
Se 0.900 0.900 0.900

The 10 most intense peaks (2θ from 10° to 90°), in order of falling intensity:
2theta, I (rel.)
28.91, 100
41.10, 39
41.58, 38
24.87, 23
51.02, 21
67.51, 18
68.20, 18
75.22, 14
59.90, 13
48.85, 8